Structure and calculated powder diffractogram of EuSi2Pt (DFT lattice parameters and positions (PBE); Cu Kα (weighted mean of Kα1 and Kα2)).
Intensities are scaled so that the largest is 100.

Structure:
```
EuSi2Pt
1.0
2.1825 -8.5110 0.0000
2.1825 8.5110 0.0000
0.0000 0.0000 4.1822
Eu Si Pt
2 4 2
direct
0.1055 0.8945 0.7500 Eu
0.8945 0.1055 0.2500 Eu
0.2479 0.7521 0.2500 Si
0.4627 0.5373 0.7500 Si
0.5373 0.4627 0.2500 Si
0.7521 0.2479 0.7500 Si
0.3209 0.6791 0.7500 Pt
0.6791 0.3209 0.2500 Pt
```

Top 10 peaks for 10° ≤ 2θ ≤ 90°, in order of rising 2θ:
- 10.4 deg, intensity 24
- 30.0 deg, intensity 100
- 33.4 deg, intensity 42
- 33.6 deg, intensity 17
- 38.3 deg, intensity 16
- 41.4 deg, intensity 19
- 43.3 deg, intensity 17
- 51.9 deg, intensity 14
- 55.7 deg, intensity 20
- 61.4 deg, intensity 12